For PrPd, the PBE geometry in the Materials Project gives the theoretical XRD peak list in this record (Cu Kα, 1.54184 Å).
Intensities are scaled so that the largest is 100.

Crystal structure
```
PrPd
1.0
1.954 -5.505 0.000
1.954 5.505 0.000
0.000 0.000 4.695
Pr Pd
2 2
direct
0.137 0.863 0.750
0.863 0.137 0.250
0.414 0.586 0.750
0.586 0.414 0.250
```

The 12 most intense peaks (2θ from 15° to 90°), sorted by position:
two_theta	intensity
30.86	100
32.53	32
33.50	20
37.89	18
38.34	33
38.74	69
46.48	19
51.14	18
57.88	12
61.78	16
71.58	13
76.94	13